[1]
This entry pairs a crystal structure of YHoS with its computed powder XRD pattern. Radiation: a wavelength of 1.5418 Å. Structure: the PBE geometry in Alexandria.

The 6 most intense peaks (2θ from 5° to 70°), sorted by position:
2θ (°), intensity
28.87, 34
30.67, 53
30.78, 100
39.98, 31
47.73, 28
52.34, 35

Lattice parameters (Å, degrees): 12.371 3.794 6.610 90.00 90.00 90.00
Positions (direct):
Y 0.249 0.250 0.079
Y 0.251 0.750 0.579
Y 0.749 0.250 0.421
Y 0.751 0.750 0.921
Ho 0.005 0.250 0.758
Ho 0.495 0.750 0.258
Ho 0.505 0.250 0.742
Ho 0.995 0.750 0.242
S 0.122 0.250 0.413
S 0.378 0.750 0.913
S 0.622 0.250 0.087
S 0.878 0.750 0.587

[2]
This entry pairs a crystal structure of TbMgCd6 with its computed powder XRD pattern. Radiation: a wavelength of 1.5418 Å. Structure: the PBE geometry in Alexandria.

The 6 most intense peaks (2θ from 5° to 70°), sorted by position:
2θ (°), intensity
33.84, 21
34.03, 15
35.28, 100
37.05, 31
38.90, 21
65.64, 16

Lattice parameters (Å, degrees): 4.852 6.396 6.396 69.07 90.00 90.00
Positions (direct):
Tb 0.000 0.000 0.000
Mg 0.500 0.248 0.248
Cd 0.000 0.438 0.438
Cd 0.000 0.510 0.934
Cd 0.000 0.934 0.510
Cd 0.500 0.317 0.742
Cd 0.500 0.742 0.317
Cd 0.500 0.806 0.806

[3]
This entry pairs a crystal structure of Li5Cd2Hg2 with its computed powder XRD pattern. Radiation: a wavelength of 1.5418 Å. Structure: the PBE geometry in Alexandria.

The 6 most intense peaks (2θ from 5° to 70°), sorted by position:
2θ (°), intensity
24.18, 100
25.49, 98
28.11, 85
29.03, 75
30.88, 73
51.47, 66

Lattice parameters (Å, degrees): 8.161 8.161 7.030 90.00 90.00 51.15
Positions (direct):
Li 0.000 0.000 0.000
Li 0.041 0.690 0.672
Li 0.190 0.541 0.172
Li 0.310 0.959 0.672
Li 0.459 0.810 0.172
Li 0.500 0.500 0.500
Li 0.541 0.190 0.828
Li 0.690 0.041 0.328
Li 0.810 0.459 0.828
Li 0.959 0.310 0.328
Cd 0.216 0.216 0.000
Cd 0.284 0.284 0.500
Cd 0.716 0.716 0.500
Cd 0.784 0.784 0.000
Hg 0.142 0.858 0.355
Hg 0.358 0.642 0.855
Hg 0.642 0.358 0.145
Hg 0.858 0.142 0.645

[4]
This entry pairs a crystal structure of UZn8Cu4 with its computed powder XRD pattern. Radiation: a wavelength of 1.5418 Å. Structure: the PBE geometry in Alexandria.

The 6 most intense peaks (2θ from 5° to 70°), sorted by position:
2θ (°), intensity
28.87, 37
35.39, 53
40.69, 56
40.99, 100
41.87, 63
68.60, 21

Lattice parameters (Å, degrees): 6.740 6.740 6.740 97.71 97.71 137.02
Positions (direct):
U 0.000 0.000 0.000
Zn 0.000 0.347 0.347
Zn 0.000 0.653 0.653
Zn 0.281 0.500 0.781
Zn 0.347 0.000 0.347
Zn 0.500 0.281 0.781
Zn 0.500 0.719 0.219
Zn 0.653 0.000 0.653
Zn 0.719 0.500 0.219
Cu 0.000 0.000 0.500
Cu 0.000 0.500 0.000
Cu 0.500 0.000 0.000
Cu 0.500 0.500 0.500

[5]
This entry pairs a crystal structure of Zr3CoAs2 with its computed powder XRD pattern. Radiation: a wavelength of 1.5418 Å. Structure: the PBE geometry in Alexandria.

The 6 most intense peaks (2θ from 5° to 70°), sorted by position:
2θ (°), intensity
29.93, 33
33.39, 47
34.68, 100
38.34, 84
41.80, 45
47.78, 56

Lattice parameters (Å, degrees): 10.838 3.807 10.574 90.00 90.00 90.00
Positions (direct):
Zr 0.049 0.250 0.120
Zr 0.120 0.750 0.561
Zr 0.218 0.250 0.793
Zr 0.282 0.750 0.293
Zr 0.380 0.250 0.061
Zr 0.451 0.750 0.620
Zr 0.549 0.250 0.380
Zr 0.620 0.750 0.939
Zr 0.718 0.250 0.707
Zr 0.782 0.750 0.207
Zr 0.880 0.250 0.439
Zr 0.951 0.750 0.880
Co 0.130 0.250 0.372
Co 0.370 0.750 0.872
Co 0.630 0.250 0.128
Co 0.870 0.750 0.628
As 0.020 0.750 0.309
As 0.191 0.750 0.001
As 0.309 0.250 0.501
As 0.480 0.250 0.809
As 0.520 0.750 0.191
As 0.691 0.750 0.499
As 0.809 0.250 0.999
As 0.980 0.250 0.691

[6]
This entry pairs a crystal structure of La3Pm4Sc with its computed powder XRD pattern. Radiation: a wavelength of 1.5418 Å. Structure: the PBE geometry in Alexandria.

The 6 most intense peaks (2θ from 5° to 70°), sorted by position:
2θ (°), intensity
28.04, 24
30.45, 25
31.99, 100
41.87, 16
55.09, 21
59.38, 15

Lattice parameters (Å, degrees): 11.742 7.362 6.353 90.00 90.00 90.00
Positions (direct):
La 0.000 0.127 0.000
La 0.249 0.118 0.330
La 0.251 0.882 0.830
La 0.500 0.873 0.500
La 0.749 0.882 0.830
La 0.751 0.118 0.330
Pm 0.000 0.373 0.504
Pm 0.000 0.630 0.996
Pm 0.243 0.626 0.340
Pm 0.257 0.374 0.840
Pm 0.500 0.370 0.496
Pm 0.500 0.627 0.004
Pm 0.743 0.374 0.840
Pm 0.757 0.626 0.340
Sc 0.000 0.871 0.497
Sc 0.500 0.129 0.997

- What is the formula in the first record?
  YHoS